Diffraction record for MgBiMo2. The powder X-ray diffraction pattern is simulated, not measured: it uses a structure optimized by DFT (PBE) and Cu Kα (weighted mean of Kα1 and Kα2).
No peak broadening, texture or thermal motion is included.

Crystal structure
```
MgBiMo2
1.0
0.0000 3.3348 3.3348
3.3348 0.0000 3.3348
3.3348 3.3348 0.0000
Mg Bi Mo
1 1 2
direct
0.0000 0.0000 0.0000
0.5000 0.5000 0.5000
0.2500 0.2500 0.2500
0.7500 0.7500 0.7500
```

The 8 most intense peaks (5 to 70 degrees two-theta), in order of rising 2θ:
2θ/deg, Rel. int.
23.10, 42
26.73, 1
38.16, 100
45.08, 23
55.08, 17
60.51, 10
62.25, 1
68.98, 35